(1)
Starting from DFT lattice parameters and positions (GGA-PBE), the powder X-ray diffraction pattern of Mg14GaSb was computed for λ = 1.5418 Å (Cu Kα).
Intensities are scaled so that the largest is 100.

Atomic structure:
```
Mg14GaSb
1.0
6.388 0.000 0.000
-3.194 5.532 0.000
0.000 0.000 10.155
Mg Ga Sb
14 1 1
Direct
0.000 0.000 0.249
0.000 0.000 0.751
0.331 0.165 0.500
0.334 0.167 0.000
0.501 0.001 0.254
0.501 0.001 0.746
0.501 0.499 0.254
0.501 0.499 0.746
0.833 0.167 0.000
0.833 0.666 0.000
0.835 0.165 0.500
0.835 0.669 0.500
0.999 0.499 0.254
0.999 0.499 0.746
0.333 0.667 0.500
0.333 0.667 0.000
```

Main lines, sorted by position (2θ from 10° to 80°):
d/Å, two_theta, I_rel
5.532, 16.02, 33
3.741, 23.79, 27
2.766, 32.36, 28
2.539, 35.36, 25
2.429, 37.01, 100
1.870, 48.68, 17
1.597, 57.72, 17
1.444, 64.55, 19
1.352, 69.54, 19
1.334, 70.58, 14

(2)
Starting from DFT lattice parameters and positions (GGA-PBE), the powder X-ray diffraction pattern of Mg4ScGa5 was computed for λ = 1.5418 Å (Cu Kα).
Intensities are scaled so that the largest is 100.

Atomic structure:
```
Mg4ScGa5
1.0
3.386 0.000 0.000
0.000 3.386 0.000
0.000 0.000 16.733
Mg Sc Ga
4 1 5
Direct
0.000 0.000 0.100
0.000 0.000 0.298
0.000 0.000 0.702
0.000 0.000 0.900
0.000 0.000 0.500
0.500 0.500 0.000
0.500 0.500 0.200
0.500 0.500 0.399
0.500 0.500 0.601
0.500 0.500 0.800
```

Main lines, sorted by position (2θ from 10° to 80°):
d/Å, two_theta, I_rel
3.386, 26.32, 23
3.347, 26.64, 11
2.394, 37.56, 51
2.380, 37.80, 100
1.947, 46.64, 10
1.693, 54.17, 17
1.673, 54.87, 8
1.514, 61.20, 4
1.380, 67.94, 33
1.372, 68.40, 16

(3)
Starting from DFT lattice parameters and positions (GGA-PBE), the powder X-ray diffraction pattern of MgGa2Se4 was computed for λ = 1.5418 Å (Cu Kα).
Intensities are scaled so that the largest is 100.

Atomic structure:
```
MgGa2Se4
1.0
5.543 0.000 0.000
0.000 5.543 0.000
0.000 0.000 11.876
Mg Ga Se
2 4 8
Direct
0.000 0.000 0.000
0.500 0.500 0.500
0.000 0.500 0.250
0.000 0.500 0.750
0.500 0.000 0.250
0.500 0.000 0.750
0.229 0.229 0.375
0.229 0.771 0.625
0.271 0.271 0.875
0.271 0.729 0.125
0.729 0.271 0.125
0.729 0.729 0.875
0.771 0.229 0.625
0.771 0.771 0.375
```

Main lines, sorted by position (2θ from 10° to 80°):
d/Å, two_theta, I_rel
5.938, 14.92, 12
3.919, 22.69, 8
3.271, 27.26, 100
2.511, 35.76, 6
2.026, 44.73, 46
1.960, 46.33, 20
1.767, 51.74, 16
1.681, 54.59, 25
1.386, 67.61, 6
1.312, 71.96, 11

(4)
Starting from DFT lattice parameters and positions (GGA-PBE), the powder X-ray diffraction pattern of MgGa2Se4 was computed for λ = 1.5418 Å (Cu Kα).
Intensities are scaled so that the largest is 100.

Atomic structure:
```
MgGa2Se4
1.0
5.545 0.000 0.000
0.000 5.545 0.000
0.000 0.000 5.955
Mg Ga Se
1 2 4
Direct
0.000 0.000 0.000
0.000 0.500 0.500
0.500 0.000 0.500
0.270 0.270 0.251
0.270 0.730 0.749
0.730 0.270 0.749
0.730 0.730 0.251
```

Main lines, sorted by position (2θ from 10° to 80°):
d/Å, two_theta, I_rel
5.955, 14.88, 12
3.921, 22.68, 8
3.275, 27.23, 100
2.514, 35.72, 5
2.029, 44.66, 46
1.961, 46.31, 20
1.771, 51.61, 16
1.682, 54.55, 25
1.386, 67.57, 6
1.314, 71.83, 11

(5)
Starting from DFT lattice parameters and positions (GGA-PBE), the powder X-ray diffraction pattern of TmMgGaSe4 was computed for λ = 1.5418 Å (Cu Kα).
Intensities are scaled so that the largest is 100.

Atomic structure:
```
TmMgGaSe4
1.0
-3.956 3.974 5.630
3.956 -3.974 5.630
3.956 3.974 -5.630
Tm Mg Ga Se
2 2 2 8
Direct
0.500 0.000 0.000
0.500 0.500 0.500
0.000 0.000 0.000
0.500 0.000 0.500
0.132 0.382 0.750
0.868 0.618 0.250
0.245 0.247 0.999
0.251 0.238 0.487
0.251 0.763 0.013
0.252 0.753 0.499
0.748 0.247 0.501
0.749 0.237 0.987
0.749 0.762 0.513
0.755 0.753 0.001
```

Main lines, sorted by position (2θ from 10° to 80°):
d/Å, two_theta, I_rel
6.493, 13.64, 33
3.974, 22.37, 27
3.393, 26.27, 35
3.379, 26.38, 50
2.815, 31.79, 31
2.804, 31.92, 61
2.166, 41.71, 17
2.160, 41.83, 19
1.987, 45.67, 100
1.978, 45.87, 19

(6)
Starting from DFT lattice parameters and positions (GGA-PBE), the powder X-ray diffraction pattern of Mg2GaSi was computed for λ = 1.5418 Å (Cu Kα).
Intensities are scaled so that the largest is 100.

Atomic structure:
```
Mg2GaSi
1.0
4.341 0.000 0.000
0.000 4.341 0.000
0.000 0.000 3.899
Mg Ga Si
2 1 1
Direct
0.000 0.500 0.000
0.500 0.000 0.000
0.000 0.000 0.500
0.500 0.500 0.500
```

Main lines, sorted by position (2θ from 10° to 80°):
d/Å, two_theta, I_rel
4.341, 20.46, 18
3.070, 29.09, 11
2.901, 30.82, 14
2.412, 37.28, 100
2.171, 41.61, 36
1.950, 46.58, 13
1.535, 60.30, 12
1.450, 64.21, 19
1.295, 73.08, 26
1.206, 79.47, 10

(7)
Starting from DFT lattice parameters and positions (GGA-PBE), the powder X-ray diffraction pattern of Mg14GaSi was computed for λ = 1.5418 Å (Cu Kα).
Intensities are scaled so that the largest is 100.

Atomic structure:
```
Mg14GaSi
1.0
6.305 0.000 0.000
-3.153 5.461 0.000
0.000 0.000 9.995
Mg Ga Si
14 1 1
Direct
0.000 0.000 0.249
0.000 0.000 0.751
0.006 0.503 0.245
0.006 0.503 0.755
0.332 0.166 0.000
0.334 0.167 0.500
0.497 0.503 0.245
0.497 0.503 0.755
0.497 0.994 0.245
0.497 0.994 0.755
0.833 0.167 0.500
0.833 0.666 0.500
0.834 0.166 0.000
0.834 0.668 0.000
0.333 0.667 0.500
0.333 0.667 0.000
```

Main lines, sorted by position (2θ from 10° to 80°):
d/Å, two_theta, I_rel
5.461, 16.23, 7
4.792, 18.52, 6
2.730, 32.80, 25
2.499, 35.94, 25
2.396, 37.54, 100
1.843, 49.44, 15
1.576, 58.56, 17
1.422, 65.65, 18
1.333, 70.65, 19
1.317, 71.66, 14

(8)
Starting from DFT lattice parameters and positions (GGA-PBE), the powder X-ray diffraction pattern of SmMg2Ga4 was computed for λ = 1.5418 Å (Cu Kα).
Intensities are scaled so that the largest is 100.

Atomic structure:
```
SmMg2Ga4
1.0
4.164 0.000 0.000
0.000 4.198 0.000
0.000 0.000 16.998
Sm Mg Ga
2 4 8
Direct
0.000 0.000 0.000
0.500 0.500 0.500
0.000 0.500 0.315
0.000 0.500 0.685
0.500 0.000 0.185
0.500 0.000 0.815
0.000 0.000 0.428
0.000 0.000 0.572
0.000 0.500 0.154
0.000 0.500 0.846
0.500 0.000 0.346
0.500 0.000 0.654
0.500 0.500 0.072
0.500 0.500 0.928
```

Main lines, sorted by position (2θ from 10° to 80°):
d/Å, two_theta, I_rel
8.499, 10.41, 71
3.373, 26.42, 35
2.792, 32.05, 100
2.642, 33.93, 29
2.633, 34.04, 19
2.427, 37.04, 32
2.098, 43.11, 69
2.082, 43.46, 24
1.484, 62.61, 26
1.478, 62.86, 19

Please write out number 7 again, unchanged.
Starting from DFT lattice parameters and positions (GGA-PBE), the powder X-ray diffraction pattern of Mg14GaSi was computed for λ = 1.5418 Å (Cu Kα).
Intensities are scaled so that the largest is 100.

Atomic structure:
```
Mg14GaSi
1.0
6.305 0.000 0.000
-3.153 5.461 0.000
0.000 0.000 9.995
Mg Ga Si
14 1 1
Direct
0.000 0.000 0.249
0.000 0.000 0.751
0.006 0.503 0.245
0.006 0.503 0.755
0.332 0.166 0.000
0.334 0.167 0.500
0.497 0.503 0.245
0.497 0.503 0.755
0.497 0.994 0.245
0.497 0.994 0.755
0.833 0.167 0.500
0.833 0.666 0.500
0.834 0.166 0.000
0.834 0.668 0.000
0.333 0.667 0.500
0.333 0.667 0.000
```

Main lines, sorted by position (2θ from 10° to 80°):
d/Å, two_theta, I_rel
5.461, 16.23, 7
4.792, 18.52, 6
2.730, 32.80, 25
2.499, 35.94, 25
2.396, 37.54, 100
1.843, 49.44, 15
1.576, 58.56, 17
1.422, 65.65, 18
1.333, 70.65, 19
1.317, 71.66, 14